This entry pairs a crystal structure of Li9Mn7O16 with its computed X-ray powder pattern. Radiation: Cu Kα X-rays. Structure: a GGA+U-relaxed structure.

Main lines, in order of rising 2θ (5° ≤ 2θ ≤ 70°):
2θ 18.21, I = 100, hkl 0 2 0; 2θ 33.73, I = 18, hkl 1 1 2; 2θ 36.03, I = 12, hkl 0 0 4; 2θ 36.48, I = 12, hkl -1 1 2; 2θ 40.28, I = 35, hkl 1 3 2; 2θ 44.11, I = 26, hkl 0 2 -4; 2θ 44.52, I = 26, hkl -1 3 2; 2θ 60.94, I = 8, hkl 1 1 6; 2θ 61.56, I = 8, hkl 1 5 -2; 2θ 61.83, I = 8, hkl 2 0 0

Atomic structure:
```
data_Li9Mn7O16
_cell_length_a 3.0152
_cell_length_b 9.9928
_cell_length_c 10.2163
_cell_angle_alpha 77.77
_cell_angle_beta 86.13
_cell_angle_gamma 85.33
_symmetry_space_group_name_H-M 'P 1'
_symmetry_Int_Tables_number 1
loop_
_symmetry_equiv_pos_as_xyz
'x,y,z'
loop_
_atom_site_label
_atom_site_type_symbol
_atom_site_fract_x
_atom_site_fract_y
_atom_site_fract_z
_atom_site_occupancy
Li1 Li 0.0000 0.0000 0.0000 1
Li2 Li 0.0071 0.7529 0.3748 1
Li3 Li 0.0333 0.7604 0.8798 1
Li4 Li 0.4732 0.7411 0.6239 1
Li5 Li 0.4762 0.7594 0.1078 1
Li6 Li 0.5238 0.2406 0.8922 1
Li7 Li 0.5268 0.2589 0.3761 1
Li8 Li 0.9667 0.2396 0.1202 1
Li9 Li 0.9929 0.2471 0.6252 1
Mn1 Mn 0.0000 0.0000 0.5000 1
Mn2 Mn 0.0024 0.5040 0.2490 1
Mn3 Mn 0.4928 0.0006 0.2415 1
Mn4 Mn 0.5000 0.5000 0.0000 1
Mn5 Mn 0.5000 0.5000 0.5000 1
Mn6 Mn 0.5072 0.9994 0.7585 1
Mn7 Mn 0.9976 0.4960 0.7510 1
O1 O 0.0253 0.6173 0.5705 1
O2 O 0.0287 0.8928 0.1970 1
O3 O 0.0324 0.6208 0.0678 1
O4 O 0.0424 0.8959 0.6901 1
O5 O 0.4674 0.3812 0.6792 1
O6 O 0.4722 0.8862 0.4336 1
O7 O 0.4759 0.3876 0.1821 1
O8 O 0.4983 0.1177 0.0781 1
O9 O 0.5017 0.8823 0.9219 1
O10 O 0.5241 0.6124 0.8179 1
O11 O 0.5278 0.1138 0.5664 1
O12 O 0.5326 0.6188 0.3208 1
O13 O 0.9576 0.1041 0.3099 1
O14 O 0.9676 0.3792 0.9322 1
O15 O 0.9713 0.1072 0.8030 1
O16 O 0.9747 0.3827 0.4295 1
```